[1]
This entry pairs a crystal structure of Mg4Ga2Hg with its calculated PXRD pattern. Radiation: CuKα. Structure: the PBE geometry in Alexandria.
Lines closer than 0.1° are merged.

Atomic structure:
abc: 4.5903 8.8787 14.3874
angles: 90.00 90.00 90.00
Space group Cmcm (No. 63)
One atom of each set of equivalent atoms:
Mg1 0.0000 0.0000 0.0000 x4
Mg2 0.0000 0.3120 0.2500 x4
Mg3 0.0000 0.3676 0.6404 x8
Ga1 0.0000 0.3093 0.0545 x8
Hg1 0.0000 0.0089 0.7500 x4

Peak list (10 most intense, 5 to 70 degrees two-theta, sorted by position)
h k l  Position (°2θ)  intensity
1 1 0  21.80  28.0
0 2 2  23.55  83.3
0 0 4  24.75  36.0
1 1 2  25.10  100.0
1 1 4  33.21  71.2
1 3 0  36.11  89.2
1 1 5  38.28  38.0
2 0 0  39.25  40.6
1 3 4  44.27  31.8
2 2 2  46.28  28.7

=====

[2]
This entry pairs a crystal structure of LaIO4 with its calculated PXRD pattern. Radiation: CuKα. Structure: the PBE geometry in Alexandria.
Lines closer than 0.1° are merged.

Atomic structure:
abc: 5.6743 5.5633 5.7459
angles: 90.00 98.03 90.00
Space group P2_1/c (No. 14)
One atom of each set of equivalent atoms:
La1 0.0000 0.0000 0.0000 x2
I1 0.5000 0.0000 0.5000 x2
O1 0.1876 0.1587 0.3744 x4
O2 0.3427 0.7055 0.2646 x4

Peak list (10 most intense, 5 to 70 degrees two-theta, sorted by position)
h k l  Position (°2θ)  intensity
1 1 -1  26.15  100.0
1 1 1  28.74  73.3
0 0 2  31.45  23.7
2 0 0  31.85  22.1
0 2 0  32.18  20.5
0 2 2  45.61  26.7
2 2 0  45.91  25.0
1 1 -3  51.34  18.3
3 1 -1  51.89  16.0
1 3 -1  53.81  27.3

=====

[3]
This entry pairs a crystal structure of TmTh4Pd15 with its calculated PXRD pattern. Radiation: CuKα. Structure: the PBE geometry in Alexandria.
Lines closer than 0.1° are merged.

Atomic structure:
abc: 4.1918 4.1918 20.9974
angles: 90.00 90.00 90.00
Space group P4/mmm (No. 123)
One atom of each set of equivalent atoms:
Tm1 0.0000 0.0000 0.0000 x1
Th1 0.0000 0.0000 0.1944 x2
Th2 0.0000 0.0000 0.3982 x2
Pd1 0.0000 0.5000 0.0974 x4
Pd2 0.0000 0.5000 0.2984 x4
Pd3 0.0000 0.5000 0.5000 x2
Pd4 0.5000 0.5000 0.0000 x1
Pd5 0.5000 0.5000 0.1987 x2
Pd6 0.5000 0.5000 0.3995 x2

Peak list (9 most intense, 5 to 70 degrees two-theta, sorted by position)
h k l  Position (°2θ)  intensity
1 0 0  21.18  10.8
1 1 0  30.13  9.4
1 1 5  37.13  100.0
2 0 0  43.14  49.1
2 1 0  48.54  5.3
2 1 5  53.52  4.1
2 2 0  62.65  32.0
2 1 10  66.90  1.5
3 0 0  66.96  1.1

=====

[4]
This entry pairs a crystal structure of NdDy5Ho2 with its calculated PXRD pattern. Radiation: CuKα. Structure: the PBE geometry in Alexandria.
Lines closer than 0.1° are merged.

Atomic structure:
abc: 5.7445 11.2119 8.4819
angles: 90.00 106.27 90.00
Space group P2_1/m (No. 11)
One atom of each set of equivalent atoms:
Nd1 0.0008 0.2500 0.3458 x2
Dy1 0.1645 0.0762 0.7097 x4
Dy2 0.2687 0.7500 0.0825 x2
Dy3 0.3033 0.0757 0.1199 x4
Ho1 0.3886 0.6167 0.4636 x4

Peak list (10 most intense, 5 to 70 degrees two-theta, sorted by position)
h k l  Position (°2θ)  intensity
1 3 0  28.86  27.2
1 3 -1  29.22  49.1
1 0 2  30.74  30.7
2 0 -1  31.20  29.6
1 1 2  31.78  17.8
2 1 -1  32.23  13.4
1 0 -3  32.48  100.0
2 3 1  44.69  14.0
2 3 -3  46.65  12.8
1 6 -3  59.76  12.6